The following is a theoretical powder diffraction line list of Ir2Ru4Rh5. It was derived from a structure optimized by DFT (GGA-PBE), using λ = 1.5418 Å (Cu Kα).
No peak broadening, texture or thermal motion is included.

Peak list (10 most intense, 15 to 90 degrees two-theta, sorted by position)
2θ 16.42, I 17
2θ 38.75, I 47
2θ 41.60, I 49
2θ 42.85, I 100
2θ 45.07, I 32
2θ 45.20, I 58
2θ 61.86, I 13
2θ 69.54, I 21
2θ 84.52, I 25
2θ 86.91, I 13

Structure:
a b c (Å): 4.6849 5.3990 6.6937
angles (deg): 90.00 103.35 90.00
Sites, in units of the cell vectors:
Ir (0.0000, 0.0000, 0.0000)
Ir (0.2335, 0.0000, 0.6745)
Ru (0.5093, 0.2492, 0.0040)
Ru (0.5093, 0.7508, 0.0040)
Ru (0.7255, 0.2624, 0.6677)
Ru (0.7255, 0.7376, 0.6677)
Rh (0.0018, 0.5000, 0.0055)
Rh (0.2190, 0.5000, 0.6712)
Rh (0.2832, 0.2563, 0.3386)
Rh (0.2832, 0.7437, 0.3386)
Rh (0.7846, 0.0000, 0.3407)

***

The following is a theoretical powder diffraction line list of Ir7Ru2Rh2. It was derived from a structure optimized by DFT (GGA-PBE), using λ = 1.5418 Å (Cu Kα).
No peak broadening, texture or thermal motion is included.

Peak list (10 most intense, 15 to 90 degrees two-theta, sorted by position)
2θ 35.17, I 54
2θ 37.57, I 44
2θ 40.17, I 78
2θ 41.01, I 100
2θ 41.58, I 48
2θ 42.60, I 38
2θ 42.75, I 92
2θ 43.04, I 84
2θ 44.25, I 56
2θ 74.51, I 43

Structure:
a b c (Å): 5.0653 5.0653 6.4607
angles (deg): 96.80 96.80 91.63
Sites, in units of the cell vectors:
Ir (0.0000, 0.0000, 0.0000)
Ir (0.0832, 0.4665, 0.8068)
Ir (0.1672, 0.1672, 0.4306)
Ir (0.4665, 0.0832, 0.8068)
Ir (0.5335, 0.9168, 0.1932)
Ir (0.8328, 0.8328, 0.5694)
Ir (0.9168, 0.5335, 0.1932)
Ru (0.3117, 0.6883, 0.5000)
Ru (0.6883, 0.3117, 0.5000)
Rh (0.4028, 0.4028, 0.1550)
Rh (0.5972, 0.5972, 0.8450)

***

The following is a theoretical powder diffraction line list of IrRu6Rh8. It was derived from a structure optimized by DFT (GGA-PBE), using λ = 1.5418 Å (Cu Kα).
No peak broadening, texture or thermal motion is included.

Peak list (10 most intense, 15 to 90 degrees two-theta, sorted by position)
2θ 31.60, I 20
2θ 36.65, I 24
2θ 38.21, I 88
2θ 39.29, I 68
2θ 43.57, I 100
2θ 46.24, I 26
2θ 46.61, I 33
2θ 49.16, I 39
2θ 51.27, I 18
2θ 88.14, I 19

Structure:
a b c (Å): 9.8075 9.8075 2.7246
angles (deg): 90.00 90.00 120.00
Sites, in units of the cell vectors:
Ir (0.0000, 0.0000, 0.0000)
Ru (0.0888, 0.6176, 0.2512)
Ru (0.3824, 0.4711, 0.2512)
Ru (0.4711, 0.0888, 0.7488)
Ru (0.5289, 0.9112, 0.2512)
Ru (0.6176, 0.5289, 0.7488)
Ru (0.9112, 0.3824, 0.7488)
Rh (0.0773, 0.2910, 0.2520)
Rh (0.2137, 0.9227, 0.2520)
Rh (0.2910, 0.2137, 0.7480)
Rh (0.3333, 0.6667, 0.7480)
Rh (0.6667, 0.3333, 0.2520)
Rh (0.7090, 0.7863, 0.2520)
Rh (0.7863, 0.0773, 0.7480)
Rh (0.9227, 0.7090, 0.7480)

***

The following is a theoretical powder diffraction line list of Ir6Ru5Rh. It was derived from a structure optimized by DFT (GGA-PBE), using λ = 1.5418 Å (Cu Kα).
No peak broadening, texture or thermal motion is included.

Peak list (10 most intense, 15 to 90 degrees two-theta, sorted by position)
2θ 23.10, I 9
2θ 32.95, I 7
2θ 40.62, I 100
2θ 47.26, I 49
2θ 53.26, I 4
2θ 58.77, I 3
2θ 69.06, I 31
2θ 83.29, I 25
2θ 83.37, I 13
2θ 87.93, I 11

Structure:
a b c (Å): 6.0804 6.0804 7.7008
angles (deg): 90.00 90.00 143.15
Sites, in units of the cell vectors:
Ir (0.0000, 0.0000, 0.2488)
Ir (0.0000, 0.0000, 0.7512)
Ir (0.3328, 0.6672, 0.2488)
Ir (0.3328, 0.6672, 0.7512)
Ir (0.6672, 0.3328, 0.2488)
Ir (0.6672, 0.3328, 0.7512)
Ru (0.1668, 0.8332, 0.0000)
Ru (0.1698, 0.8302, 0.5000)
Ru (0.5000, 0.5000, 0.0000)
Ru (0.8302, 0.1698, 0.5000)
Ru (0.8332, 0.1668, 0.0000)
Rh (0.5000, 0.5000, 0.5000)

***

The following is a theoretical powder diffraction line list of Ir5Ru3Rh3. It was derived from a structure optimized by DFT (GGA-PBE), using λ = 1.5418 Å (Cu Kα).
No peak broadening, texture or thermal motion is included.

Peak list (10 most intense, 15 to 90 degrees two-theta, sorted by position)
2θ 31.77, I 35
2θ 33.11, I 43
2θ 36.17, I 100
2θ 39.34, I 77
2θ 42.00, I 33
2θ 43.81, I 49
2θ 46.55, I 42
2θ 49.84, I 48
2θ 54.50, I 51
2θ 86.17, I 35

Structure:
a b c (Å): 8.6039 8.6039 2.7054
angles (deg): 90.00 90.00 120.00
Sites, in units of the cell vectors:
Ir (0.0000, 0.6591, 0.0000)
Ir (0.3333, 0.6667, 0.0000)
Ir (0.3409, 0.3409, 0.0000)
Ir (0.6591, 0.0000, 0.0000)
Ir (0.6667, 0.3333, 0.0000)
Ru (0.0000, 0.4148, 0.5000)
Ru (0.4148, 0.0000, 0.5000)
Ru (0.5852, 0.5852, 0.5000)
Rh (0.0000, 0.1655, 0.0000)
Rh (0.1655, 0.0000, 0.0000)
Rh (0.8345, 0.8345, 0.0000)

***

The following is a theoretical powder diffraction line list of Ir5Ru2Rh. It was derived from a structure optimized by DFT (GGA-PBE), using λ = 1.5418 Å (Cu Kα).
No peak broadening, texture or thermal motion is included.

Peak list (10 most intense, 15 to 90 degrees two-theta, sorted by position)
2θ 37.02, I 30
2θ 39.29, I 36
2θ 39.42, I 27
2θ 40.11, I 100
2θ 40.41, I 37
2θ 40.95, I 45
2θ 42.74, I 52
2θ 42.99, I 45
2θ 44.13, I 54
2θ 44.86, I 68

Structure:
a b c (Å): 7.2013 8.1224 9.2111
angles (deg): 95.27 107.99 106.63
Sites, in units of the cell vectors:
Ir (0.0479, 0.4399, 0.2479)
Ir (0.0963, 0.1684, 0.5859)
Ir (0.1052, 0.1809, 0.0749)
Ir (0.1439, 0.6526, 0.5475)
Ir (0.1598, 0.6481, 0.0593)
Ir (0.2134, 0.3870, 0.8704)
Ir (0.3267, 0.9799, 0.5333)
Ir (0.3273, 0.9874, 0.0331)
Ir (0.4305, 0.1874, 0.8275)
Ir (0.4338, 0.2123, 0.3323)
Ir (0.5662, 0.7877, 0.6677)
Ir (0.5695, 0.8126, 0.1725)
Ir (0.6726, 0.0126, 0.9669)
Ir (0.6733, 0.0201, 0.4667)
Ir (0.7866, 0.6130, 0.1296)
Ir (0.8402, 0.3519, 0.9407)
Ir (0.8561, 0.3474, 0.4525)
Ir (0.8948, 0.8191, 0.9251)
Ir (0.9037, 0.8316, 0.4141)
Ir (0.9521, 0.5601, 0.7521)
Ru (0.3236, 0.4262, 0.5115)
Ru (0.3543, 0.7182, 0.8570)
Ru (0.3844, 0.7059, 0.3718)
Ru (0.4302, 0.4752, 0.1773)
Ru (0.5698, 0.5248, 0.8227)
Ru (0.6156, 0.2941, 0.6282)
Ru (0.6457, 0.2818, 0.1430)
Ru (0.6764, 0.5738, 0.4885)
Rh (0.0998, 0.8940, 0.7251)
Rh (0.1234, 0.9130, 0.2298)
Rh (0.8766, 0.0870, 0.7702)
Rh (0.9002, 0.1060, 0.2749)

***

The following is a theoretical powder diffraction line list of Ir2Ru2Rh. It was derived from a structure optimized by DFT (GGA-PBE), using λ = 1.5418 Å (Cu Kα).
No peak broadening, texture or thermal motion is included.

Peak list (10 most intense, 15 to 90 degrees two-theta, sorted by position)
2θ 29.16, I 20
2θ 36.19, I 24
2θ 39.72, I 30
2θ 41.10, I 54
2θ 42.23, I 75
2θ 45.10, I 100
2θ 70.61, I 21
2θ 77.70, I 20
2θ 84.52, I 20
2θ 85.09, I 29

Structure:
a b c (Å): 4.3922 12.2518 2.7150
angles (deg): 90.00 90.00 90.00
Sites, in units of the cell vectors:
Ir (0.0000, 0.1205, 0.0000)
Ir (0.0000, 0.8795, 0.0000)
Ir (0.5000, 0.3795, 0.0000)
Ir (0.5000, 0.6205, 0.0000)
Ru (0.0000, 0.3117, 0.5000)
Ru (0.0000, 0.6883, 0.5000)
Ru (0.5000, 0.1883, 0.5000)
Ru (0.5000, 0.8117, 0.5000)
Rh (0.0000, 0.5000, 0.0000)
Rh (0.5000, 0.0000, 0.0000)

***

The following is a theoretical powder diffraction line list of IrRu4Rh. It was derived from a structure optimized by DFT (GGA-PBE), using λ = 1.5418 Å (Cu Kα).
No peak broadening, texture or thermal motion is included.

Peak list (10 most intense, 15 to 90 degrees two-theta, sorted by position)
2θ 24.07, I 3
2θ 37.95, I 26
2θ 41.76, I 25
2θ 43.53, I 100
2θ 57.69, I 15
2θ 68.55, I 17
2θ 77.48, I 18
2θ 83.60, I 20
2θ 84.72, I 5
2θ 84.84, I 10

Structure:
a b c (Å): 4.3258 2.7354 14.2366
angles (deg): 90.00 90.00 90.00
Sites, in units of the cell vectors:
Ir (0.0000, 0.0000, 0.0000)
Ir (0.0000, 0.5000, 0.5000)
Ru (0.0000, 0.0000, 0.3317)
Ru (0.0000, 0.0000, 0.6674)
Ru (0.0000, 0.5000, 0.1674)
Ru (0.0000, 0.5000, 0.8317)
Ru (0.5000, 0.0000, 0.5539)
Ru (0.5000, 0.0000, 0.8896)
Ru (0.5000, 0.5000, 0.0539)
Ru (0.5000, 0.5000, 0.3896)
Rh (0.5000, 0.0000, 0.2220)
Rh (0.5000, 0.5000, 0.7220)

***

The following is a theoretical powder diffraction line list of Ir6RuRh12. It was derived from a structure optimized by DFT (GGA-PBE), using λ = 1.5418 Å (Cu Kα).
No peak broadening, texture or thermal motion is included.

Peak list (10 most intense, 15 to 90 degrees two-theta, sorted by position)
2θ 19.13, I 13
2θ 30.51, I 17
2θ 41.23, I 100
2θ 41.43, I 24
2θ 43.58, I 37
2θ 43.68, I 38
2θ 45.85, I 14
2θ 45.99, I 13
2θ 73.50, I 14
2θ 78.40, I 13

Structure:
a b c (Å): 6.5601 6.5601 6.5601
angles (deg): 90.21 90.21 90.21
Sites, in units of the cell vectors:
Ir (0.2201, 0.6137, 0.7605)
Ir (0.2395, 0.7799, 0.3863)
Ir (0.3863, 0.2395, 0.7799)
Ir (0.6137, 0.7605, 0.2201)
Ir (0.7605, 0.2201, 0.6137)
Ir (0.7799, 0.3863, 0.2395)
Ru (0.5000, 0.5000, 0.5000)
Rh (0.0194, 0.3017, 0.9334)
Rh (0.0666, 0.9806, 0.6983)
Rh (0.1278, 0.3420, 0.4615)
Rh (0.3017, 0.9334, 0.0194)
Rh (0.3420, 0.4615, 0.1278)
Rh (0.4615, 0.1278, 0.3420)
Rh (0.5385, 0.8722, 0.6580)
Rh (0.6580, 0.5385, 0.8722)
Rh (0.6983, 0.0666, 0.9806)
Rh (0.8722, 0.6580, 0.5385)
Rh (0.9334, 0.0194, 0.3017)
Rh (0.9806, 0.6983, 0.0666)

***

The following is a theoretical powder diffraction line list of Ir2Ru8Rh3. It was derived from a structure optimized by DFT (GGA-PBE), using λ = 1.5418 Å (Cu Kα).
No peak broadening, texture or thermal motion is included.

Peak list (10 most intense, 15 to 90 degrees two-theta, sorted by position)
2θ 25.10, I 26
2θ 30.19, I 23
2θ 32.41, I 16
2θ 38.03, I 24
2θ 41.02, I 52
2θ 41.95, I 100
2θ 43.35, I 32
2θ 44.05, I 57
2θ 45.99, I 27
2θ 46.46, I 17

Structure:
a b c (Å): 6.6802 6.6802 5.2224
angles (deg): 105.55 105.55 64.17
Sites, in units of the cell vectors:
Ir (0.2024, 0.2024, 0.4124)
Ir (0.7976, 0.7976, 0.5876)
Ru (0.1986, 0.5636, 0.3195)
Ru (0.2035, 0.2035, 0.9248)
Ru (0.4186, 0.4186, 0.7697)
Ru (0.4364, 0.8014, 0.6805)
Ru (0.5636, 0.1986, 0.3195)
Ru (0.5814, 0.5814, 0.2303)
Ru (0.7965, 0.7965, 0.0752)
Ru (0.8014, 0.4364, 0.6805)
Rh (0.0000, 0.0000, 0.5000)
Rh (0.1756, 0.8244, 0.0000)
Rh (0.8244, 0.1756, 0.0000)

***

The following is a theoretical powder diffraction line list of Ir6Ru4Rh. It was derived from a structure optimized by DFT (GGA-PBE), using λ = 1.5418 Å (Cu Kα).
No peak broadening, texture or thermal motion is included.

Peak list (10 most intense, 15 to 90 degrees two-theta, sorted by position)
2θ 27.99, I 63
2θ 37.32, I 100
2θ 39.35, I 100
2θ 42.55, I 48
2θ 44.97, I 97
2θ 49.53, I 42
2θ 53.29, I 61
2θ 75.71, I 37
2θ 84.65, I 47
2θ 85.91, I 30

Structure:
a b c (Å): 7.3605 7.3605 7.3605
angles (deg): 138.59 138.59 60.00
Sites, in units of the cell vectors:
Ir (0.0000, 0.5000, 0.5000)
Ir (0.0353, 0.6711, 0.0000)
Ir (0.3289, 0.3289, 0.3642)
Ir (0.5000, 0.0000, 0.5000)
Ir (0.6711, 0.0353, 0.0000)
Ir (0.9647, 0.9647, 0.6358)
Ru (0.1424, 0.1424, 0.6074)
Ru (0.4650, 0.8576, 0.0000)
Ru (0.5350, 0.5350, 0.3926)
Ru (0.8576, 0.4650, 0.0000)
Rh (0.5000, 0.5000, 0.0000)

***

The following is a theoretical powder diffraction line list of Ir5Ru5Rh2. It was derived from a structure optimized by DFT (GGA-PBE), using λ = 1.5418 Å (Cu Kα).
No peak broadening, texture or thermal motion is included.

Peak list (10 most intense, 15 to 90 degrees two-theta, sorted by position)
2θ 22.06, I 2
2θ 22.82, I 2
2θ 40.65, I 100
2θ 47.29, I 49
2θ 69.08, I 21
2θ 69.16, I 10
2θ 83.35, I 25
2θ 83.43, I 13
2θ 87.96, I 8
2θ 88.11, I 3

Structure:
a b c (Å): 4.7040 4.7079 9.0202
angles (deg): 85.00 80.03 60.05
Sites, in units of the cell vectors:
Ir (0.0000, 0.0000, 0.0000)
Ir (0.1702, 0.6670, 0.4994)
Ir (0.2527, 0.9991, 0.2482)
Ir (0.7473, 0.0009, 0.7518)
Ir (0.8298, 0.3330, 0.5006)
Ru (0.3390, 0.3313, 0.9990)
Ru (0.4177, 0.6665, 0.7506)
Ru (0.5000, 0.0000, 0.5000)
Ru (0.5823, 0.3335, 0.2494)
Ru (0.6610, 0.6687, 0.0010)
Rh (0.0846, 0.3336, 0.7506)
Rh (0.9154, 0.6664, 0.2494)